For Zn6GaRu, the PBE geometry in Alexandria gives the theoretical powder diffractogram in this record (Cu Ka).
Kinematic intensities with the Lorentz-polarization factor, no thermal factor.

Most intense lines, 2θ from 5° to 70°, in order of rising 2θ:
2θ (°), I (rel.), (hkl)
17.24, 2, 0 0 1
19.81, 2, 1 0 0
34.88, 9, 0 0 2
40.24, 100, 2 0 0
40.43, 55, 1 0 2
49.99, 29, 1 1 2
54.29, 14, 2 0 2
66.03, 24, 2 1 2

Structural model:
a b c (Å): 5.1762 5.1762 5.1443
angles (deg): 90.00 90.00 120.00
Atoms (fractional coordinates):
Zn1 0.0000 0.5000 0.2423
Zn2 0.0000 0.5000 0.7577
Zn3 0.5000 0.0000 0.2423
Zn4 0.5000 0.0000 0.7577
Zn5 0.5000 0.5000 0.2423
Zn6 0.5000 0.5000 0.7577
Ga1 0.0000 0.0000 0.5000
Ru1 0.0000 0.0000 0.0000